MgMn4Zn2O8: theoretical X-ray powder pattern (Cu Kα), based on a crystal structure in the Materials Project, relaxed with GGA+U.

Cell and atoms:
Lattice parameters (Å, degrees): 6.210 6.252 6.258 93.33 118.02 117.97
Element x y z (fractional)
Mg  0.000  0.000  0.000
Mn  0.260  0.849  0.668
Mn  0.276  0.786  0.212
Mn  0.721  0.786  0.211
Mn  0.738  0.330  0.149
Zn  0.000  0.288  0.709
Zn  0.500  0.431  0.568
O  0.211  0.041  0.387
O  0.238  0.098  0.861
O  0.255  0.592  0.456
O  0.284  0.652  0.910
O  0.713  0.087  0.346
O  0.742  0.542  0.405
O  0.759  0.137  0.901
O  0.788  0.612  0.957

Principal peaks in the range 5 to 70 degrees two-theta, by angle:
2θ (°), d [Å], I_rel
28.51, 3.130, 19.8
28.80, 3.100, 17.3
32.86, 2.726, 100.0
33.04, 2.711, 28.7
34.22, 2.621, 24.1
34.40, 2.607, 26.8
34.78, 2.580, 17.1
44.72, 2.027, 14.8
58.99, 1.566, 14.7
59.64, 1.550, 14.3



LaFeGe2O7: theoretical X-ray powder pattern (Cu Kα), based on a crystal structure in the Materials Project, relaxed with GGA+U.

Cell and atoms:
Lattice parameters (Å, degrees): 7.421 6.728 13.246 90.00 117.30 90.00
Element x y z (fractional)
La  0.242  0.147  0.476
La  0.242  0.353  0.976
La  0.758  0.647  0.024
La  0.758  0.853  0.524
Fe  0.213  0.103  0.732
Fe  0.213  0.397  0.232
Fe  0.787  0.603  0.768
Fe  0.787  0.897  0.268
Ge  0.215  0.657  0.459
Ge  0.215  0.843  0.959
Ge  0.298  0.591  0.719
Ge  0.298  0.909  0.219
Ge  0.702  0.091  0.781
Ge  0.702  0.409  0.281
Ge  0.785  0.157  0.041
Ge  0.785  0.343  0.541
O  0.010  0.667  0.921
O  0.010  0.833  0.421
O  0.156  0.686  0.187
O  0.156  0.814  0.687
O  0.206  0.047  0.873
O  0.206  0.453  0.373
O  0.221  0.107  0.279
O  0.221  0.393  0.779
O  0.252  0.505  0.579
O  0.252  0.995  0.079
O  0.409  0.677  0.983
O  0.409  0.823  0.483
O  0.437  0.126  0.697
O  0.437  0.374  0.197
O  0.563  0.626  0.803
O  0.563  0.874  0.303
O  0.591  0.177  0.517
O  0.591  0.323  0.017
O  0.748  0.005  0.921
O  0.748  0.495  0.421
O  0.779  0.607  0.221
O  0.779  0.893  0.721
O  0.794  0.547  0.627
O  0.794  0.953  0.127
O  0.844  0.186  0.313
O  0.844  0.314  0.813
O  0.990  0.167  0.579
O  0.990  0.333  0.079

Principal peaks in the range 5 to 70 degrees two-theta, by angle:
2θ (°), d [Å], I_rel
26.93, 3.311, 47.0
27.04, 3.297, 100.0
29.18, 3.061, 76.0
30.03, 2.976, 39.9
30.37, 2.943, 43.6
32.33, 2.769, 32.9
35.14, 2.554, 29.0
43.66, 2.073, 27.7
46.96, 1.935, 23.7
51.38, 1.778, 21.6



SrDyCr4O12: theoretical X-ray powder pattern (Cu Kα), based on a crystal structure in the Materials Project, relaxed with GGA+U.

Cell and atoms:
Lattice parameters (Å, degrees): 7.429 5.349 5.349 89.97 90.00 90.00
Element x y z (fractional)
Sr  0.000  0.000  0.000
Dy  0.500  0.546  0.546
Cr  0.251  0.029  0.522
Cr  0.251  0.522  0.029
Cr  0.749  0.029  0.522
Cr  0.749  0.522  0.029
O  0.000  0.053  0.483
O  0.000  0.483  0.053
O  0.225  0.725  0.725
O  0.257  0.235  0.790
O  0.257  0.790  0.235
O  0.299  0.307  0.307
O  0.500  0.536  0.965
O  0.500  0.965  0.536
O  0.701  0.307  0.307
O  0.743  0.235  0.790
O  0.743  0.790  0.235
O  0.775  0.725  0.725

Principal peaks in the range 5 to 70 degrees two-theta, by angle:
2θ (°), d [Å], I_rel
20.46, 4.341, 100.0
33.51, 2.674, 36.8
33.82, 2.650, 70.9
39.58, 2.277, 33.2
40.13, 2.247, 18.8
48.12, 1.891, 28.5
49.05, 1.857, 14.8
53.24, 1.720, 13.8
60.11, 1.539, 27.9
60.71, 1.525, 14.3



Li2Ni3SbO8: theoretical X-ray powder pattern (Cu Kα), based on a crystal structure in the Materials Project, relaxed with GGA+U.

Cell and atoms:
Lattice parameters (Å, degrees): 6.014 6.014 6.014 58.68 58.68 58.68
Element x y z (fractional)
Li  0.126  0.126  0.126
Li  0.874  0.874  0.874
Ni  0.000  0.500  0.500
Ni  0.500  0.000  0.500
Ni  0.500  0.500  0.000
Sb  0.500  0.500  0.500
O  0.262  0.262  0.722
O  0.262  0.722  0.262
O  0.270  0.270  0.270
O  0.278  0.738  0.738
O  0.722  0.262  0.262
O  0.730  0.730  0.730
O  0.738  0.278  0.738
O  0.738  0.738  0.278

Principal peaks in the range 5 to 70 degrees two-theta, by angle:
2θ (°), d [Å], I_rel
18.38, 4.828, 100.0
34.90, 2.571, 20.9
35.43, 2.533, 33.2
37.25, 2.414, 15.6
42.98, 2.104, 51.9
47.52, 1.913, 11.3
56.88, 1.619, 12.5
57.24, 1.609, 8.3
61.72, 1.503, 16.3
63.09, 1.473, 15.8



Li6MnSn3P6O24: theoretical X-ray powder pattern (Cu Kα), based on a crystal structure in the Materials Project, relaxed with GGA+U.

Cell and atoms:
Lattice parameters (Å, degrees): 8.607 8.640 8.655 64.14 64.46 64.27
Element x y z (fractional)
Li  0.000  0.000  0.000
Li  0.057  0.508  0.936
Li  0.271  0.849  0.634
Li  0.526  0.691  0.297
Li  0.726  0.390  0.170
Li  0.888  0.151  0.470
Mn  0.908  0.534  0.315
Sn  0.083  0.709  0.495
Sn  0.388  0.017  0.793
Sn  0.601  0.228  0.007
P  0.188  0.127  0.189
P  0.330  0.626  0.084
P  0.504  0.413  0.601
P  0.673  0.954  0.410
P  0.793  0.822  0.914
P  0.999  0.305  0.732
O  0.016  0.294  0.199
O  0.065  0.437  0.742
O  0.142  0.111  0.742
O  0.160  0.572  0.146
O  0.168  0.987  0.380
O  0.201  0.056  0.043
O  0.323  0.779  0.898
O  0.346  0.690  0.215
O  0.361  0.178  0.123
O  0.362  0.603  0.579
O  0.427  0.263  0.640
O  0.484  0.954  0.557
O  0.510  0.469  0.052
O  0.576  0.362  0.758
O  0.626  0.884  0.852
O  0.648  0.133  0.250
O  0.662  0.421  0.422
O  0.734  0.787  0.351
O  0.779  0.977  0.972
O  0.791  0.646  0.075
O  0.806  0.964  0.477
O  0.848  0.268  0.918
O  0.942  0.362  0.566
O  0.978  0.786  0.769

Principal peaks in the range 5 to 70 degrees two-theta, by angle:
2θ (°), d [Å], I_rel
14.10, 6.282, 41.6
19.32, 4.593, 100.0
20.63, 4.306, 71.2
20.72, 4.286, 36.5
23.28, 3.821, 33.2
23.39, 3.803, 69.2
32.63, 2.744, 34.7
32.76, 2.734, 44.5
33.76, 2.655, 51.2
34.61, 2.591, 32.7